For Tl14SnHg, DFT lattice parameters and positions (GGA-PBE) gives the computed X-ray diffraction stick pattern in this record (CuKα).
Neutral-atom scattering factors, no anomalous dispersion.

Top 10 peaks for 10° ≤ 2θ ≤ 90°, in order of rising 2θ:
2θ = 32.1°, I 100
2θ = 32.4°, I 48
2θ = 45.7°, I 10
2θ = 46.4°, I 17
2θ = 57.1°, I 19
2θ = 57.5°, I 17
2θ = 57.6°, I 19
2θ = 67.2°, I 11
2θ = 75.9°, I 8
2θ = 77.0°, I 10

Cell and atoms:
abc: 11.0557 6.8159 6.8159
angles: 71.23 90.00 90.00
Sites, in units of the cell vectors:
1 Tl 0.0000 0.0000 0.0000
2 Tl 0.0000 0.4889 0.4889
3 Tl 0.0000 0.5063 0.9819
4 Tl 0.0000 0.9819 0.5063
5 Tl 0.2440 0.2594 0.2594
6 Tl 0.2589 0.7664 0.7664
7 Tl 0.2599 0.2660 0.7585
8 Tl 0.2599 0.7585 0.2660
9 Tl 0.5000 0.0039 0.4807
10 Tl 0.5000 0.4807 0.0039
11 Tl 0.7401 0.2660 0.7585
12 Tl 0.7401 0.7585 0.2660
13 Tl 0.7411 0.7664 0.7664
14 Tl 0.7560 0.2594 0.2594
15 Sn 0.5000 0.9854 0.9854
16 Hg 0.5000 0.4950 0.4950



For Tl2SnHg5, DFT lattice parameters and positions (GGA-PBE) gives the computed X-ray diffraction stick pattern in this record (CuKα).
Neutral-atom scattering factors, no anomalous dispersion.

Top 10 peaks for 10° ≤ 2θ ≤ 90°, in order of rising 2θ:
2θ = 27.7°, I 29
2θ = 30.3°, I 24
2θ = 30.5°, I 100
2θ = 31.6°, I 93
2θ = 32.4°, I 29
2θ = 34.1°, I 25
2θ = 36.4°, I 64
2θ = 39.4°, I 29
2θ = 51.6°, I 23
2θ = 63.1°, I 26

Cell and atoms:
abc: 6.4655 6.7358 6.7840
angles: 94.21 118.30 113.13
Sites, in units of the cell vectors:
1 Tl 0.0000 0.0000 0.0000
2 Tl 0.4854 0.9623 0.9948
3 Sn 0.7443 0.4794 0.5003
4 Hg 0.0024 0.4990 0.0103
5 Hg 0.2448 0.4799 0.5005
6 Hg 0.4866 0.4646 0.9917
7 Hg 0.4878 0.9804 0.4934
8 Hg 0.9949 0.9784 0.5009



For Tl3Sn8Hg3, DFT lattice parameters and positions (GGA-PBE) gives the computed X-ray diffraction stick pattern in this record (CuKα).
Neutral-atom scattering factors, no anomalous dispersion.

Top 10 peaks for 10° ≤ 2θ ≤ 90°, in order of rising 2θ:
2θ = 30.3°, I 49
2θ = 30.9°, I 40
2θ = 31.2°, I 79
2θ = 31.7°, I 32
2θ = 32.8°, I 33
2θ = 33.8°, I 26
2θ = 35.0°, I 50
2θ = 35.4°, I 100
2θ = 60.2°, I 23
2θ = 61.4°, I 31

Cell and atoms:
abc: 9.2320 9.2320 5.0761
angles: 104.42 104.42 82.02
Sites, in units of the cell vectors:
1 Tl 0.0000 0.0000 0.0000
2 Tl 0.2803 0.2803 0.2661
3 Tl 0.7197 0.7197 0.7339
4 Sn 0.0012 0.2611 0.6148
5 Sn 0.1328 0.5701 0.8728
6 Sn 0.2611 0.0012 0.6148
7 Sn 0.4299 0.8672 0.1272
8 Sn 0.5701 0.1328 0.8728
9 Sn 0.7389 0.9988 0.3852
10 Sn 0.8672 0.4299 0.1272
11 Sn 0.9988 0.7389 0.3852
12 Hg 0.3540 0.6460 0.5000
13 Hg 0.5000 0.5000 0.0000
14 Hg 0.6460 0.3540 0.5000



For TlSn4Hg, DFT lattice parameters and positions (GGA-PBE) gives the computed X-ray diffraction stick pattern in this record (CuKα).
Neutral-atom scattering factors, no anomalous dispersion.

Top 10 peaks for 10° ≤ 2θ ≤ 90°, in order of rising 2θ:
2θ = 28.3°, I 44
2θ = 33.3°, I 100
2θ = 34.9°, I 25
2θ = 50.1°, I 19
2θ = 53.4°, I 36
2θ = 58.6°, I 29
2θ = 69.1°, I 13
2θ = 70.0°, I 11
2θ = 80.6°, I 10
2θ = 83.2°, I 24

Cell and atoms:
abc: 6.3054 6.3054 6.3054
angles: 60.00 60.00 60.00
Sites, in units of the cell vectors:
1 Tl 0.0000 0.0000 0.0000
2 Sn 0.1253 0.6249 0.6249
3 Sn 0.6249 0.1253 0.6249
4 Sn 0.6249 0.6249 0.1253
5 Sn 0.6249 0.6249 0.6249
6 Hg 0.2500 0.2500 0.2500



For TlSnHg, DFT lattice parameters and positions (GGA-PBE) gives the computed X-ray diffraction stick pattern in this record (CuKα).
Neutral-atom scattering factors, no anomalous dispersion.

Top 10 peaks for 10° ≤ 2θ ≤ 90°, in order of rising 2θ:
2θ = 21.3°, I 13
2θ = 24.6°, I 35
2θ = 35.1°, I 100
2θ = 41.4°, I 7
2θ = 43.3°, I 11
2θ = 50.5°, I 18
2θ = 56.9°, I 14
2θ = 62.9°, I 38
2θ = 74.1°, I 12
2θ = 84.7°, I 17

Cell and atoms:
abc: 5.1163 5.1163 5.1163
angles: 60.00 60.00 60.00
Sites, in units of the cell vectors:
1 Tl 0.0000 0.0000 0.0000
2 Sn 0.7500 0.7500 0.7500
3 Hg 0.5000 0.5000 0.5000



For Tm4SnHg, DFT lattice parameters and positions (GGA-PBE) gives the computed X-ray diffraction stick pattern in this record (CuKα).
Neutral-atom scattering factors, no anomalous dispersion.

Top 10 peaks for 10° ≤ 2θ ≤ 90°, in order of rising 2θ:
2θ = 21.2°, I 25
2θ = 27.4°, I 100
2θ = 27.8°, I 91
2θ = 30.1°, I 33
2θ = 30.3°, I 30
2θ = 35.0°, I 42
2θ = 35.2°, I 28
2θ = 41.2°, I 50
2θ = 46.9°, I 36
2θ = 47.0°, I 28

Cell and atoms:
abc: 7.1630 7.2659 7.2562
angles: 90.00 90.72 90.00
Sites, in units of the cell vectors:
1 Tm 0.1591 0.1696 0.1734
2 Tm 0.1591 0.3304 0.6734
3 Tm 0.3369 0.6577 0.1540
4 Tm 0.3369 0.8423 0.6540
5 Tm 0.6631 0.1577 0.3460
6 Tm 0.6631 0.3423 0.8460
7 Tm 0.8409 0.6696 0.3266
8 Tm 0.8409 0.8304 0.8266
9 Sn 0.5000 0.0000 0.0000
10 Sn 0.5000 0.5000 0.5000
11 Hg 0.0000 0.0000 0.5000
12 Hg 0.0000 0.5000 0.0000